Diffraction record for Mg14ZnCrO16. The PXRD pattern is theoretical, not measured: it uses the GGA+U geometry in the Materials Project and Cu Kα X-rays.
Peak positions follow from Bragg's law for the DFT cell and can differ from measured ones.

Atomic structure:
Lattice parameters (Å, degrees): 8.5530 8.5530 4.2712 90.00 90.00 90.00
Atoms (fractional coordinates):
1 Mg 0.0000 0.2501 0.0000
2 Mg 0.0000 0.5000 0.5000
3 Mg 0.0000 0.7499 0.0000
4 Mg 0.2484 0.5000 0.0000
5 Mg 0.2494 0.2494 0.5000
6 Mg 0.2494 0.7506 0.5000
7 Mg 0.2501 0.0000 0.0000
8 Mg 0.5000 0.0000 0.5000
9 Mg 0.5000 0.2484 0.0000
10 Mg 0.5000 0.7516 0.0000
11 Mg 0.7499 0.0000 0.0000
12 Mg 0.7506 0.2494 0.5000
13 Mg 0.7506 0.7506 0.5000
14 Mg 0.7516 0.5000 0.0000
15 Zn 0.0000 0.0000 0.5000
16 Cr 0.5000 0.5000 0.5000
17 O 0.0000 0.0000 0.0000
18 O 0.0000 0.2530 0.5000
19 O 0.0000 0.5000 0.0000
20 O 0.0000 0.7470 0.5000
21 O 0.2438 0.5000 0.5000
22 O 0.2500 0.2500 0.0000
23 O 0.2500 0.7500 0.0000
24 O 0.2530 0.0000 0.5000
25 O 0.5000 0.0000 0.0000
26 O 0.5000 0.2438 0.5000
27 O 0.5000 0.5000 0.0000
28 O 0.5000 0.7562 0.5000
29 O 0.7470 0.0000 0.5000
30 O 0.7500 0.2500 0.0000
31 O 0.7500 0.7500 0.0000
32 O 0.7562 0.5000 0.5000

Principal peaks in the range 2θ from 5° to 70°, by angle:
2θ 14.65, intensity 8; 2θ 20.78, intensity 7; 2θ 25.53, intensity 5; 2θ 29.55, intensity 6; 2θ 33.12, intensity 3; 2θ 36.40, intensity 19; 2θ 39.43, intensity 4; 2θ 42.28, intensity 100; 2θ 47.56, intensity 3; 2θ 61.34, intensity 57

---

Diffraction record for Ba3Ti3Fe3Bi2O18. The PXRD pattern is theoretical, not measured: it uses the GGA+U geometry in the Materials Project and Cu Kα X-rays.
Peak positions follow from Bragg's law for the DFT cell and can differ from measured ones.

Atomic structure:
Lattice parameters (Å, degrees): 5.6372 5.6372 13.8868 90.00 90.00 120.00
Atoms (fractional coordinates):
1 Ba 0.0000 0.0000 0.0000
2 Ba 0.0000 0.0000 0.4910
3 Ba 0.6667 0.3333 0.6715
4 Ti 0.0000 0.0000 0.2422
5 Ti 0.3333 0.6667 0.5672
6 Ti 0.6667 0.3333 0.4130
7 Fe 0.0000 0.0000 0.7580
8 Fe 0.3333 0.6667 0.0883
9 Fe 0.6667 0.3333 0.9243
10 Bi 0.3333 0.6667 0.7993
11 Bi 0.6667 0.3333 0.2025
12 O 0.1635 0.3270 0.1690
13 O 0.1635 0.8365 0.1690
14 O 0.1735 0.3471 0.6782
15 O 0.1735 0.8265 0.6782
16 O 0.3394 0.1697 0.8394
17 O 0.3491 0.1746 0.3298
18 O 0.5019 0.0039 0.5047
19 O 0.5019 0.4981 0.5047
20 O 0.5034 0.0067 0.0058
21 O 0.5034 0.4966 0.0058
22 O 0.6529 0.8265 0.6782
23 O 0.6730 0.8365 0.1690
24 O 0.8254 0.1746 0.3298
25 O 0.8254 0.6509 0.3298
26 O 0.8303 0.1697 0.8394
27 O 0.8303 0.6606 0.8394
28 O 0.9933 0.4966 0.0058
29 O 0.9961 0.4981 0.5047

Principal peaks in the range 2θ from 5° to 70°, by angle:
2θ 6.36, intensity 22; 2θ 19.26, intensity 43; 2θ 22.26, intensity 35; 2θ 26.54, intensity 25; 2θ 31.62, intensity 77; 2θ 31.75, intensity 100; 2θ 39.12, intensity 32; 2θ 45.42, intensity 55; 2θ 56.51, intensity 50; 2θ 66.33, intensity 20

---

Diffraction record for Mn3Fe2P6WO24. The PXRD pattern is theoretical, not measured: it uses the GGA+U geometry in the Materials Project and Cu Kα X-rays.
Peak positions follow from Bragg's law for the DFT cell and can differ from measured ones.

Atomic structure:
Lattice parameters (Å, degrees): 8.6545 8.6545 8.6545 61.13 61.13 61.13
Atoms (fractional coordinates):
1 Mn 0.0000 0.0000 0.0000
2 Mn 0.2048 0.2048 0.2048
3 Mn 0.7062 0.7062 0.7062
4 Fe 0.3429 0.3429 0.3429
5 Fe 0.8514 0.8514 0.8514
6 P 0.0975 0.4073 0.8099
7 P 0.3008 0.9005 0.6052
8 P 0.4073 0.8099 0.0975
9 P 0.6052 0.3008 0.9005
10 P 0.8099 0.0975 0.4073
11 P 0.9005 0.6052 0.3008
12 W 0.4948 0.4948 0.4948
13 O 0.0438 0.2572 0.8272
14 O 0.0901 0.4458 0.2880
15 O 0.1057 0.8946 0.7510
16 O 0.1701 0.3655 0.9580
17 O 0.2572 0.8272 0.0438
18 O 0.2635 0.4337 0.6063
19 O 0.2880 0.0901 0.4458
20 O 0.3655 0.9580 0.1701
21 O 0.3695 0.7336 0.5273
22 O 0.4337 0.6063 0.2635
23 O 0.4458 0.2880 0.0901
24 O 0.4473 0.8574 0.6790
25 O 0.5273 0.3695 0.7336
26 O 0.6063 0.2635 0.4337
27 O 0.6071 0.7882 0.9492
28 O 0.6790 0.4473 0.8574
29 O 0.7336 0.5273 0.3695
30 O 0.7510 0.1057 0.8946
31 O 0.7882 0.9492 0.6071
32 O 0.8272 0.0438 0.2572
33 O 0.8574 0.6790 0.4473
34 O 0.8946 0.7510 0.1057
35 O 0.9492 0.6071 0.7882
36 O 0.9580 0.1701 0.3655

Principal peaks in the range 2θ from 5° to 70°, by angle:
2θ 12.35, intensity 31; 2θ 20.18, intensity 100; 2θ 20.53, intensity 27; 2θ 23.88, intensity 80; 2θ 32.67, intensity 72; 2θ 35.32, intensity 44; 2θ 46.80, intensity 26; 2θ 48.88, intensity 28; 2θ 55.22, intensity 25; 2θ 61.73, intensity 23

---

Diffraction record for Sr4CaMn2S2O6. The PXRD pattern is theoretical, not measured: it uses the GGA+U geometry in the Materials Project and Cu Kα X-rays.
Peak positions follow from Bragg's law for the DFT cell and can differ from measured ones.

Atomic structure:
Lattice parameters (Å, degrees): 3.9113 3.9113 17.0486 90.00 90.00 90.00
Atoms (fractional coordinates):
1 Sr 0.0000 0.5000 0.0790
2 Sr 0.0000 0.5000 0.2975
3 Sr 0.5000 0.0000 0.7025
4 Sr 0.5000 0.0000 0.9210
5 Ca 0.5000 0.5000 0.5000
6 Mn 0.0000 0.5000 0.8166
7 Mn 0.5000 0.0000 0.1834
8 S 0.0000 0.5000 0.6109
9 S 0.5000 0.0000 0.3891
10 O 0.0000 0.0000 0.2008
11 O 0.0000 0.0000 0.7992
12 O 0.0000 0.5000 0.9356
13 O 0.5000 0.0000 0.0644
14 O 0.5000 0.5000 0.2010
15 O 0.5000 0.5000 0.7990

Principal peaks in the range 2θ from 5° to 70°, by angle:
2θ 5.18, intensity 83; 2θ 10.38, intensity 19; 2θ 31.03, intensity 100; 2θ 32.37, intensity 50; 2θ 34.91, intensity 12; 2θ 36.12, intensity 12; 2θ 39.19, intensity 24; 2θ 46.43, intensity 38; 2θ 54.35, intensity 12; 2θ 56.90, intensity 35